Record 1
Structure and calculated powder X-ray diffraction pattern of Tb4Ir (a structure optimized by DFT (GGA-PBE); Cu Kα, 1.54184 Å).
Intensities are scaled so that the largest is 100.

Cell and atoms:
```
Tb4Ir
1.0
0.000 5.451 5.451
5.451 0.000 5.451
5.451 5.451 0.000
Tb Ir
8 2
direct
0.210 0.763 0.763 Tb
0.237 0.237 0.237 Tb
0.237 0.237 0.790 Tb
0.237 0.790 0.237 Tb
0.763 0.210 0.763 Tb
0.763 0.763 0.210 Tb
0.763 0.763 0.763 Tb
0.790 0.237 0.237 Tb
0.375 0.375 0.375 Ir
0.625 0.625 0.625 Ir
```

Largest 6 diffraction maxima, by intensity, 15° ≤ 2θ ≤ 90°:
2θ = 28.4°, rel. 100
2θ = 47.2°, rel. 58
2θ = 55.9°, rel. 36
2θ = 35.9°, rel. 30
2θ = 23.1°, rel. 29
2θ = 43.1°, rel. 27

Record 2
Structure and calculated powder X-ray diffraction pattern of Hf2Ni3P3 (a structure optimized by DFT (GGA-PBE); Cu Kα, 1.54184 Å).
Intensities are scaled so that the largest is 100.

Cell and atoms:
```
Hf2Ni3P3
1.0
12.299 0.000 0.000
0.000 3.604 0.000
0.000 0.000 9.999
Hf Ni P
8 12 12
direct
0.005 0.250 0.164 Hf
0.210 0.750 0.573 Hf
0.290 0.250 0.073 Hf
0.495 0.750 0.664 Hf
0.505 0.250 0.336 Hf
0.710 0.750 0.927 Hf
0.790 0.250 0.427 Hf
0.995 0.750 0.836 Hf
0.016 0.250 0.595 Ni
0.166 0.750 0.274 Ni
0.216 0.750 0.864 Ni
0.284 0.250 0.364 Ni
0.334 0.250 0.774 Ni
0.484 0.750 0.095 Ni
0.516 0.250 0.905 Ni
0.666 0.750 0.226 Ni
0.716 0.750 0.636 Ni
0.784 0.250 0.136 Ni
0.834 0.250 0.726 Ni
0.984 0.750 0.405 Ni
0.103 0.250 0.397 P
0.127 0.750 0.054 P
0.144 0.250 0.761 P
0.356 0.750 0.261 P
0.373 0.250 0.554 P
0.397 0.750 0.897 P
0.603 0.250 0.103 P
0.627 0.750 0.446 P
0.644 0.250 0.739 P
0.856 0.750 0.239 P
0.873 0.250 0.946 P
0.897 0.750 0.603 P
```

Largest 6 diffraction maxima, by intensity, 15° ≤ 2θ ≤ 90°:
2θ = 39.6°, rel. 100
2θ = 37.8°, rel. 68
2θ = 36.7°, rel. 54
2θ = 38.5°, rel. 39
2θ = 31.4°, rel. 39
2θ = 50.7°, rel. 38

Record 3
Structure and calculated powder X-ray diffraction pattern of Mg14CdGa (a structure optimized by DFT (GGA-PBE); Cu Kα, 1.54184 Å).
Intensities are scaled so that the largest is 100.

Cell and atoms:
```
Mg14CdGa
1.0
6.305 0.000 0.000
-3.153 5.461 0.000
0.000 0.000 10.354
Mg Cd Ga
14 1 1
direct
0.000 0.000 0.250 Mg
0.000 0.000 0.750 Mg
0.001 0.501 0.250 Mg
0.001 0.501 0.750 Mg
0.333 0.166 0.000 Mg
0.333 0.167 0.500 Mg
0.499 0.501 0.250 Mg
0.499 0.501 0.750 Mg
0.499 0.999 0.250 Mg
0.499 0.999 0.750 Mg
0.833 0.167 0.500 Mg
0.833 0.667 0.500 Mg
0.834 0.166 0.000 Mg
0.834 0.667 0.000 Mg
0.333 0.667 0.000 Cd
0.333 0.667 0.500 Ga
```

Largest 6 diffraction maxima, by intensity, 15° ≤ 2θ ≤ 90°:
2θ = 37.2°, rel. 100
2θ = 16.2°, rel. 31
2θ = 32.8°, rel. 28
2θ = 34.7°, rel. 27
2θ = 23.7°, rel. 26
2θ = 63.8°, rel. 19

Record 4
Structure and calculated powder X-ray diffraction pattern of Li8NO3 (a structure optimized by DFT (GGA-PBE); Cu Kα, 1.54184 Å).
Intensities are scaled so that the largest is 100.

Cell and atoms:
```
Li8NO3
1.0
4.710 0.000 0.000
0.000 4.710 0.000
0.000 0.000 4.710
Li N O
8 1 3
direct
0.248 0.248 0.248 Li
0.248 0.248 0.752 Li
0.248 0.752 0.248 Li
0.248 0.752 0.752 Li
0.752 0.248 0.248 Li
0.752 0.248 0.752 Li
0.752 0.752 0.248 Li
0.752 0.752 0.752 Li
0.500 0.500 0.500 N
0.000 0.000 0.500 O
0.000 0.500 0.000 O
0.500 0.000 0.000 O
```

Largest 6 diffraction maxima, by intensity, 15° ≤ 2θ ≤ 90°:
2θ = 32.9°, rel. 100
2θ = 55.2°, rel. 72
2θ = 65.8°, rel. 22
2θ = 81.8°, rel. 9
2θ = 38.2°, rel. 5
2θ = 18.8°, rel. 1

Record 5
Structure and calculated powder X-ray diffraction pattern of Si3Mo (a structure optimized by DFT (GGA-PBE); Cu Kα, 1.54184 Å).
Intensities are scaled so that the largest is 100.

Cell and atoms:
```
Si3Mo
1.0
5.210 0.000 0.000
-2.605 4.512 0.000
0.000 0.000 4.840
Si Mo
6 2
direct
0.175 0.349 0.250 Si
0.175 0.825 0.250 Si
0.349 0.175 0.750 Si
0.651 0.825 0.250 Si
0.825 0.175 0.750 Si
0.825 0.651 0.750 Si
0.333 0.667 0.750 Mo
0.667 0.333 0.250 Mo
```

Largest 6 diffraction maxima, by intensity, 15° ≤ 2θ ≤ 90°:
2θ = 44.3°, rel. 100
2θ = 27.0°, rel. 51
2θ = 37.2°, rel. 38
2θ = 19.7°, rel. 26
2θ = 72.0°, rel. 23
2θ = 40.0°, rel. 23

Record 6
Structure and calculated powder X-ray diffraction pattern of ReN2 (a structure optimized by DFT (GGA-PBE); Cu Kα, 1.54184 Å).
Intensities are scaled so that the largest is 100.

Cell and atoms:
```
ReN2
1.0
-1.406 1.877 6.509
1.406 -1.877 6.509
1.406 1.877 -6.509
Re N
2 4
direct
0.159 0.159 0.000 Re
0.841 0.841 0.000 Re
0.049 0.549 0.500 N
0.292 0.792 0.500 N
0.708 0.208 0.500 N
0.951 0.451 0.500 N
```

Largest 6 diffraction maxima, by intensity, 15° ≤ 2θ ≤ 90°:
2θ = 31.5°, rel. 100
2θ = 38.1°, rel. 90
2θ = 24.7°, rel. 85
2θ = 40.1°, rel. 49
2θ = 59.2°, rel. 41
2θ = 63.3°, rel. 40